No. 1
Structure and computed powder diffraction line list of PrCuNi (a structure optimized by DFT (GGA-PBE); copper Kα).
Lines closer than 0.1° are merged.

Top 10 peaks for 2θ from 5° to 70°, low angle first:
2θ 24.4, intensity 8
2θ 28.8, intensity 33
2θ 33.8, intensity 100
2θ 38.1, intensity 52
2θ 45.0, intensity 38
2θ 49.2, intensity 26
2θ 54.3, intensity 11
2θ 60.4, intensity 26
2θ 65.5, intensity 12
2θ 68.9, intensity 18

Structure:
a b c (Å): 7.8254 7.8254 4.0291
angles (deg): 104.84 104.84 29.83
Atoms (fractional coordinates):
Pr1 0.0000 0.0000 0.0000
Pr2 0.2500 0.2500 0.7496
Cu1 0.4162 0.4162 0.4162
Cu2 0.6662 0.6662 0.1662
Ni1 0.5799 0.5799 0.5803
Ni2 0.8299 0.8299 0.3291

No. 2
Structure and computed powder diffraction line list of La2Y3PuSe6 (a structure optimized by DFT (GGA-PBE); copper Kα).
Lines closer than 0.1° are merged.

Top 10 peaks for 2θ from 5° to 70°, low angle first:
2θ 25.1, intensity 6
2θ 30.3, intensity 100
2θ 43.1, intensity 12
2θ 43.2, intensity 25
2θ 43.5, intensity 24
2θ 43.7, intensity 12
2θ 53.3, intensity 6
2θ 53.9, intensity 6
2θ 54.1, intensity 13
2θ 63.0, intensity 12

Structure:
a b c (Å): 9.3521 9.3521 8.4027
angles (deg): 103.59 103.59 25.60
Atoms (fractional coordinates):
La1 0.1654 0.1654 0.3318
La2 0.8346 0.8346 0.6682
Y1 0.1676 0.1676 0.8357
Y2 0.5000 0.5000 0.5000
Y3 0.8324 0.8324 0.1643
Pu1 0.5000 0.5000 0.0000
Se1 0.0047 0.0047 0.7489
Se2 0.3326 0.3326 0.9275
Se3 0.3370 0.3370 0.4062
Se4 0.6630 0.6630 0.5938
Se5 0.6674 0.6674 0.0725
Se6 0.9953 0.9953 0.2511

No. 3
Structure and computed powder diffraction line list of Sm2In3Co9 (a structure optimized by DFT (GGA-PBE); copper Kα).
Lines closer than 0.1° are merged.

Top 10 peaks for 2θ from 5° to 70°, low angle first:
2θ 30.8, intensity 100
2θ 34.8, intensity 38
2θ 36.4, intensity 29
2θ 39.9, intensity 26
2θ 40.0, intensity 50
2θ 40.3, intensity 33
2θ 42.9, intensity 28
2θ 43.9, intensity 27
2θ 44.5, intensity 48
2θ 46.3, intensity 36

Structure:
a b c (Å): 11.5740 11.5740 4.0751
angles (deg): 90.00 90.00 155.40
Atoms (fractional coordinates):
Sm1 0.1794 0.8206 0.0000
Sm2 0.8206 0.1794 0.0000
In1 0.2984 0.7016 0.5000
In2 0.5000 0.5000 0.0000
In3 0.7016 0.2984 0.5000
Co1 0.0000 0.0000 0.5000
Co2 0.0562 0.9438 0.0000
Co3 0.1609 0.3434 0.5000
Co4 0.3434 0.1609 0.5000
Co5 0.3854 0.6146 0.0000
Co6 0.6146 0.3854 0.0000
Co7 0.6566 0.8391 0.5000
Co8 0.8391 0.6566 0.5000
Co9 0.9438 0.0562 0.0000

No. 4
Structure and computed powder diffraction line list of Rb3SnGe (a structure optimized by DFT (GGA-PBE); copper Kα).
Lines closer than 0.1° are merged.

Top 10 peaks for 2θ from 5° to 70°, low angle first:
2θ 16.0, intensity 50
2θ 21.2, intensity 34
2θ 24.6, intensity 55
2θ 25.5, intensity 70
2θ 26.1, intensity 100
2θ 26.5, intensity 51
2θ 30.3, intensity 37
2θ 30.9, intensity 40
2θ 31.8, intensity 35
2θ 33.5, intensity 50

Structure:
a b c (Å): 8.4606 8.4606 8.9948
angles (deg): 120.14 120.14 81.84
Atoms (fractional coordinates):
Rb1 0.0655 0.0655 0.3594
Rb2 0.0950 0.4682 0.2363
Rb3 0.4682 0.0950 0.2363
Rb4 0.5318 0.9050 0.7637
Rb5 0.9050 0.5318 0.7637
Rb6 0.9345 0.9345 0.6406
Sn1 0.4403 0.4403 0.7492
Sn2 0.5597 0.5597 0.2508
Ge1 0.2980 0.2980 0.8876
Ge2 0.7020 0.7020 0.1124

No. 5
Structure and computed powder diffraction line list of Ti2SnPd5 (a structure optimized by DFT (GGA-PBE); copper Kα).
Lines closer than 0.1° are merged.

Top 10 peaks for 2θ from 5° to 70°, low angle first:
2θ 22.0, intensity 12
2θ 22.4, intensity 6
2θ 31.6, intensity 10
2θ 38.8, intensity 100
2θ 39.0, intensity 96
2θ 44.9, intensity 63
2θ 45.8, intensity 31
2θ 65.1, intensity 10
2θ 65.7, intensity 9
2θ 66.1, intensity 39

Structure:
a b c (Å): 5.6865 11.4630 3.9632
angles (deg): 90.00 90.00 90.00
Atoms (fractional coordinates):
Ti1 0.2143 0.1395 0.0000
Ti2 0.2857 0.6395 0.0000
Ti3 0.7143 0.3605 0.0000
Ti4 0.7857 0.8605 0.0000
Sn1 0.0000 0.5000 0.5000
Sn2 0.5000 0.0000 0.5000
Pd1 0.0000 0.0000 0.5000
Pd2 0.0175 0.7492 0.5000
Pd3 0.2399 0.3762 0.0000
Pd4 0.2601 0.8762 0.0000
Pd5 0.4825 0.2492 0.5000
Pd6 0.5000 0.5000 0.5000
Pd7 0.5175 0.7508 0.5000
Pd8 0.7399 0.1238 0.0000
Pd9 0.7601 0.6238 0.0000
Pd10 0.9825 0.2508 0.5000

No. 6
Structure and computed powder diffraction line list of NdNi12 (a structure optimized by DFT (GGA-PBE); copper Kα).
Lines closer than 0.1° are merged.

Top 10 peaks for 2θ from 5° to 70°, low angle first:
2θ 30.7, intensity 32
2θ 34.3, intensity 14
2θ 37.8, intensity 46
2θ 38.2, intensity 19
2θ 43.8, intensity 66
2θ 43.9, intensity 100
2θ 44.2, intensity 76
2θ 49.3, intensity 29
2θ 49.7, intensity 37
2θ 63.7, intensity 14

Structure:
a b c (Å): 6.3033 6.3033 6.3033
angles (deg): 98.05 98.05 136.05
Atoms (fractional coordinates):
Nd1 0.0000 0.0000 0.0000
Ni1 0.0000 0.0000 0.5000
Ni2 0.0000 0.3557 0.3557
Ni3 0.0000 0.5000 0.0000
Ni4 0.0000 0.6443 0.6443
Ni5 0.2708 0.5000 0.7708
Ni6 0.3557 0.0000 0.3557
Ni7 0.5000 0.0000 0.0000
Ni8 0.5000 0.2708 0.7708
Ni9 0.5000 0.5000 0.5000
Ni10 0.5000 0.7292 0.2292
Ni11 0.6443 0.0000 0.6443
Ni12 0.7292 0.5000 0.2292

No. 7
Structure and computed powder diffraction line list of Zn5PdAu6 (a structure optimized by DFT (GGA-PBE); copper Kα).
Lines closer than 0.1° are merged.

Top 10 peaks for 2θ from 5° to 70°, low angle first:
2θ 24.6, intensity 29
2θ 29.3, intensity 21
2θ 30.0, intensity 20
2θ 38.7, intensity 100
2θ 39.2, intensity 97
2θ 42.0, intensity 39
2θ 42.9, intensity 40
2θ 50.5, intensity 21
2θ 67.7, intensity 16
2θ 68.4, intensity 17

Structure:
a b c (Å): 4.2195 7.2292 6.7403
angles (deg): 90.00 106.98 90.00
Atoms (fractional coordinates):
Zn1 0.0000 0.0000 0.0000
Zn2 0.3219 0.0000 0.6495
Zn3 0.3520 0.5000 0.7080
Zn4 0.6480 0.5000 0.2920
Zn5 0.6781 0.0000 0.3505
Pd1 0.0000 0.5000 0.0000
Au1 0.1734 0.2570 0.3415
Au2 0.1734 0.7430 0.3415
Au3 0.5000 0.2190 0.0000
Au4 0.5000 0.7810 0.0000
Au5 0.8266 0.2570 0.6585
Au6 0.8266 0.7430 0.6585

No. 8
Structure and computed powder diffraction line list of CsCd (a structure optimized by DFT (GGA-PBE); copper Kα).
Lines closer than 0.1° are merged.

Top 10 peaks for 2θ from 5° to 70°, low angle first:
2θ 9.4, intensity 95
2θ 23.0, intensity 71
2θ 24.9, intensity 100
2θ 29.4, intensity 46
2θ 33.4, intensity 86
2θ 34.8, intensity 27
2θ 42.1, intensity 24
2θ 44.6, intensity 30
2θ 51.9, intensity 44
2θ 54.8, intensity 22

Structure:
a b c (Å): 9.8621 9.8621 9.8621
angles (deg): 31.53 31.53 31.53
Atoms (fractional coordinates):
Cs1 0.0887 0.0887 0.0887
Cs2 0.9113 0.9113 0.9113
Cd1 0.3332 0.3332 0.3332
Cd2 0.6668 0.6668 0.6668

No. 9
Structure and computed powder diffraction line list of Ni4IrPt5 (a structure optimized by DFT (GGA-PBE); copper Kα).
Lines closer than 0.1° are merged.

Top 10 peaks for 2θ from 5° to 70°, low angle first:
2θ 9.6, intensity 4
2θ 24.1, intensity 12
2θ 32.8, intensity 12
2θ 38.3, intensity 3
2θ 41.1, intensity 100
2θ 47.0, intensity 35
2θ 49.4, intensity 14
2θ 53.5, intensity 6
2θ 60.5, intensity 4
2θ 68.7, intensity 11

Structure:
a b c (Å): 2.7333 2.7333 18.4533
angles (deg): 90.00 90.00 90.00
Atoms (fractional coordinates):
Ni1 0.0000 0.0000 0.0980
Ni2 0.0000 0.0000 0.2941
Ni3 0.0000 0.0000 0.7059
Ni4 0.0000 0.0000 0.9020
Ir1 0.0000 0.0000 0.5000
Pt1 0.5000 0.5000 0.0000
Pt2 0.5000 0.5000 0.1960
Pt3 0.5000 0.5000 0.3927
Pt4 0.5000 0.5000 0.6073
Pt5 0.5000 0.5000 0.8040

No. 10
Structure and computed powder diffraction line list of Te6RuBr8 (a structure optimized by DFT (GGA-PBE); copper Kα).
Lines closer than 0.1° are merged.

Top 10 peaks for 2θ from 5° to 70°, low angle first:
2θ 8.4, intensity 31
2θ 10.1, intensity 100
2θ 12.1, intensity 18
2θ 27.0, intensity 11
2θ 27.4, intensity 13
2θ 28.2, intensity 10
2θ 30.5, intensity 12
2θ 30.7, intensity 14
2θ 31.9, intensity 12
2θ 36.1, intensity 12

Structure:
a b c (Å): 10.2400 17.4945 15.6346
angles (deg): 90.00 121.73 90.00
Atoms (fractional coordinates):
Te1 0.0403 0.0769 0.1345
Te2 0.0403 0.4231 0.6345
Te3 0.0499 0.7265 0.6667
Te4 0.0499 0.7735 0.1667
Te5 0.0959 0.0757 0.7536
Te6 0.0959 0.4243 0.2536
Te7 0.1979 0.0843 0.0294
Te8 0.1979 0.4157 0.5294
Te9 0.2225 0.5789 0.5671
Te10 0.2225 0.9211 0.0671
Te11 0.3043 0.5582 0.8363
Te12 0.3043 0.9418 0.3363
Te13 0.6957 0.0582 0.6637
Te14 0.6957 0.4418 0.1637
Te15 0.7775 0.0789 0.9329
Te16 0.7775 0.4211 0.4329
Te17 0.8021 0.5843 0.4706
Te18 0.8021 0.9157 0.9706
Te19 0.9041 0.5757 0.7464
Te20 0.9041 0.9243 0.2464
Te21 0.9501 0.2265 0.8333
Te22 0.9501 0.2735 0.3333
Te23 0.9597 0.5769 0.3655
Te24 0.9597 0.9231 0.8655
Ru1 0.0575 0.5756 0.6549
Ru2 0.0575 0.9244 0.1549
Ru3 0.9425 0.0756 0.8451
Ru4 0.9425 0.4244 0.3451
Br1 0.0960 0.0311 0.3884
Br2 0.0960 0.4689 0.8884
Br3 0.1195 0.2451 0.5336
Br4 0.1195 0.2549 0.0336
Br5 0.1950 0.7037 0.8823
Br6 0.1950 0.7963 0.3823
Br7 0.2781 0.1979 0.8647
Br8 0.2781 0.3021 0.3647
Br9 0.2902 0.7205 0.1740
Br10 0.2902 0.7795 0.6740
Br11 0.3072 0.5255 0.3583
Br12 0.3072 0.9745 0.8583
Br13 0.3888 0.0825 0.3181
Br14 0.3888 0.4175 0.8181
Br15 0.4736 0.1142 0.6779
Br16 0.4736 0.3858 0.1779
Br17 0.5264 0.6142 0.8221
Br18 0.5264 0.8858 0.3221
Br19 0.6112 0.5825 0.1819
Br20 0.6112 0.9175 0.6819
Br21 0.6928 0.0255 0.1417
Br22 0.6928 0.4745 0.6417
Br23 0.7098 0.2205 0.3260
Br24 0.7098 0.2795 0.8260
Br25 0.7219 0.6979 0.6353
Br26 0.7219 0.8021 0.1353
Br27 0.8050 0.2037 0.6177
Br28 0.8050 0.2963 0.1177
Br29 0.8805 0.7451 0.9664
Br30 0.8805 0.7549 0.4664
Br31 0.9040 0.5311 0.1116
Br32 0.9040 0.9689 0.6116

No. 11
Structure and computed powder diffraction line list of Al4Co2NiRh (a structure optimized by DFT (GGA-PBE); copper Kα).
Lines closer than 0.1° are merged.

Top 10 peaks for 2θ from 5° to 70°, low angle first:
2θ 13.2, intensity 3
2θ 25.4, intensity 2
2θ 26.5, intensity 4
2θ 30.7, intensity 30
2θ 33.5, intensity 1
2θ 40.2, intensity 1
2θ 44.0, intensity 100
2θ 52.1, intensity 2
2θ 54.6, intensity 7
2θ 64.0, intensity 16

Structure:
a b c (Å): 7.1335 7.1335 7.1335
angles (deg): 33.54 33.54 33.54
Atoms (fractional coordinates):
Al1 0.1230 0.1230 0.1230
Al2 0.3733 0.3733 0.3733
Al3 0.6267 0.6267 0.6267
Al4 0.8770 0.8770 0.8770
Co1 0.2507 0.2507 0.2507
Co2 0.7493 0.7493 0.7493
Ni1 0.0000 0.0000 0.0000
Rh1 0.5000 0.5000 0.5000

No. 12
Structure and computed powder diffraction line list of CsAg5Cl7 (a structure optimized by DFT (GGA-PBE); copper Kα).
Lines closer than 0.1° are merged.

Top 10 peaks for 2θ from 5° to 70°, low angle first:
2θ 7.5, intensity 48
2θ 23.1, intensity 69
2θ 25.3, intensity 51
2θ 26.4, intensity 65
2θ 27.7, intensity 59
2θ 28.5, intensity 100
2θ 29.8, intensity 60
2θ 31.4, intensity 68
2θ 32.6, intensity 53
2θ 45.0, intensity 52

Structure:
a b c (Å): 4.2786 23.4589 6.8580
angles (deg): 90.00 102.36 90.00
Atoms (fractional coordinates):
Cs1 0.1294 0.2500 0.3752
Cs2 0.8706 0.7500 0.6248
Ag1 0.0000 0.0000 0.0000
Ag2 0.0000 0.5000 0.0000
Ag3 0.3043 0.5681 0.5792
Ag4 0.3043 0.9319 0.5792
Ag5 0.3831 0.1424 0.8812
Ag6 0.3831 0.3576 0.8812
Ag7 0.6169 0.6424 0.1188
Ag8 0.6169 0.8576 0.1188
Ag9 0.6957 0.0681 0.4208
Ag10 0.6957 0.4319 0.4208
Cl1 0.0944 0.1041 0.1519
Cl2 0.0944 0.3959 0.1519
Cl3 0.2573 0.6562 0.3746
Cl4 0.2573 0.8438 0.3746
Cl5 0.3409 0.0297 0.7294
Cl6 0.3409 0.4703 0.7294
Cl7 0.4520 0.2500 0.9746
Cl8 0.5480 0.7500 0.0254
Cl9 0.6591 0.5297 0.2706
Cl10 0.6591 0.9703 0.2706
Cl11 0.7427 0.1562 0.6254
Cl12 0.7427 0.3438 0.6254
Cl13 0.9056 0.6041 0.8481
Cl14 0.9056 0.8959 0.8481